For BaCe2Sn2Au2, DFT lattice parameters and positions (PBE) gives the calculated X-ray powder pattern in this record (Cu Kα).
Kinematic intensities with the Lorentz-polarization factor, no thermal factor.

Structural model:
```
BaCe2Sn2Au2
1.0
2.4386 1.4079 9.8311
-2.4386 1.4079 9.8311
0.0000 -2.8159 9.8311
Ba Ce Sn Au
1 2 2 2
Direct
0.0000 0.0000 0.0000
0.1435 0.1435 0.1435
0.8565 0.8565 0.8565
0.2560 0.2560 0.2560
0.7440 0.7440 0.7440
0.4413 0.4413 0.4413
0.5587 0.5587 0.5587
```

Top 10 peaks for 10 to 90 degrees two-theta, by angle:
two_theta	intensity
29.95	100.0
36.86	97.2
37.18	41.0
38.02	11.9
46.41	12.5
48.21	32.7
53.36	14.7
62.19	28.0
66.40	17.7
66.61	15.5



For BaCeZnAu, DFT lattice parameters and positions (PBE) gives the calculated X-ray powder pattern in this record (Cu Kα).
Kinematic intensities with the Lorentz-polarization factor, no thermal factor.

Structural model:
```
BaCeZnAu
1.0
7.7265 0.0000 0.0000
0.0000 7.7265 0.0000
0.0000 0.0000 7.7265
Ba Ce Zn Au
4 4 4 4
Direct
0.0000 0.0000 0.0000
0.0000 0.5000 0.5000
0.5000 0.0000 0.5000
0.5000 0.5000 0.0000
0.0000 0.0000 0.5000
0.0000 0.5000 0.0000
0.5000 0.0000 0.0000
0.5000 0.5000 0.5000
0.2500 0.2500 0.7500
0.2500 0.7500 0.2500
0.7500 0.2500 0.2500
0.7500 0.7500 0.7500
0.2500 0.2500 0.2500
0.2500 0.7500 0.7500
0.7500 0.2500 0.7500
0.7500 0.7500 0.2500
```

Top 10 peaks for 10 to 90 degrees two-theta, by angle:
two_theta	intensity
19.90	11.9
32.78	100.0
38.65	7.1
47.04	18.2
51.56	3.2
58.52	37.9
68.72	11.7
72.35	2.5
78.25	16.4
87.46	4.2



For BaAuCl4, DFT lattice parameters and positions (PBE) gives the calculated X-ray powder pattern in this record (Cu Kα).
Kinematic intensities with the Lorentz-polarization factor, no thermal factor.

Structural model:
```
BaAuCl4
1.0
6.0507 -2.9594 0.0000
6.0507 2.9594 0.0000
-2.2457 0.0000 9.5623
Ba Au Cl
2 2 8
Direct
0.2306 0.7694 0.7500
0.7694 0.2306 0.2500
0.0000 0.5000 0.0000
0.5000 0.0000 0.5000
0.1828 0.3127 0.6596
0.2104 0.7088 0.0685
0.2912 0.7896 0.4315
0.3127 0.1828 0.1596
0.6873 0.8172 0.8404
0.7088 0.2104 0.5685
0.7896 0.2912 0.9315
0.8172 0.6873 0.3404
```

Top 10 peaks for 10 to 90 degrees two-theta, by angle:
two_theta	intensity
20.00	100.0
21.09	38.9
27.07	32.6
30.20	25.2
30.35	39.9
31.24	70.4
37.13	27.2
43.23	23.8
44.37	20.0
44.98	21.5



For BaTeAu2Cl, DFT lattice parameters and positions (PBE) gives the calculated X-ray powder pattern in this record (Cu Kα).
Kinematic intensities with the Lorentz-polarization factor, no thermal factor.

Structural model:
```
BaTeAu2Cl
1.0
4.9204 0.0000 0.0000
0.0000 4.9204 0.0000
0.0000 0.0000 7.6425
Ba Te Au Cl
1 1 2 1
Direct
0.0000 0.0000 0.0000
0.5000 0.5000 0.0000
0.0000 0.5000 0.5000
0.5000 0.0000 0.5000
0.5000 0.5000 0.5000
```

Top 10 peaks for 10 to 90 degrees two-theta, by angle:
two_theta	intensity
11.58	14.5
23.28	50.4
28.18	100.0
36.52	31.7
43.76	38.2
44.06	30.4
58.28	16.3
60.75	23.7
61.45	13.9
70.98	15.1



For BaCrAu, DFT lattice parameters and positions (PBE) gives the calculated X-ray powder pattern in this record (Cu Kα).
Kinematic intensities with the Lorentz-polarization factor, no thermal factor.

Structural model:
```
BaCrAu
1.0
7.3545 0.0000 0.0000
0.0000 7.3545 0.0000
0.0000 0.0000 7.3545
Ba Cr Au
4 4 4
Direct
0.0000 0.0000 0.0000
0.0000 0.5000 0.5000
0.5000 0.0000 0.5000
0.5000 0.5000 0.0000
0.0000 0.0000 0.5000
0.0000 0.5000 0.0000
0.5000 0.0000 0.0000
0.5000 0.5000 0.5000
0.2500 0.2500 0.2500
0.2500 0.7500 0.7500
0.7500 0.2500 0.7500
0.7500 0.7500 0.2500
```

Top 10 peaks for 10 to 90 degrees two-theta, by angle:
two_theta	intensity
20.92	69.9
34.49	100.0
40.69	39.4
49.58	17.7
54.38	17.2
61.80	36.4
66.01	13.0
72.74	11.3
76.65	13.0
83.05	16.1



For CsBaH6Au3, DFT lattice parameters and positions (PBE) gives the calculated X-ray powder pattern in this record (Cu Kα).
Kinematic intensities with the Lorentz-polarization factor, no thermal factor.

Structural model:
```
CsBaH6Au3
1.0
3.9353 2.2720 4.7190
-3.9353 2.2720 4.7190
0.0000 -4.5441 4.7190
Cs Ba H Au
1 1 6 3
Direct
0.0000 0.0000 0.0000
0.4878 0.4878 0.4878
0.0846 0.4073 0.6055
0.1684 0.9000 0.4496
0.4073 0.6055 0.0846
0.4496 0.1684 0.9000
0.6055 0.0846 0.4073
0.9000 0.4496 0.1684
0.0080 0.4210 0.3794
0.3794 0.0080 0.4210
0.4210 0.3794 0.0080
```

Top 10 peaks for 10 to 90 degrees two-theta, by angle:
two_theta	intensity
14.42	85.0
18.80	63.4
26.91	55.7
28.41	48.6
29.08	100.0
35.41	29.7
36.60	37.3
37.14	51.6
44.24	35.1
56.20	25.6



For CsBaAuSe2, DFT lattice parameters and positions (PBE) gives the calculated X-ray powder pattern in this record (Cu Kα).
Kinematic intensities with the Lorentz-polarization factor, no thermal factor.

Structural model:
```
CsBaAuSe2
1.0
4.5345 -8.5232 0.0000
4.5345 8.5232 0.0000
0.0000 0.0000 5.6213
Cs Ba Au Se
2 2 2 4
Direct
0.2500 0.7500 0.7711
0.7500 0.2500 0.2289
0.2500 0.2500 0.5000
0.7500 0.7500 0.5000
0.0000 0.0000 0.0000
0.5000 0.5000 0.0000
0.1146 0.8854 0.2664
0.3854 0.6146 0.2664
0.6146 0.3854 0.7336
0.8854 0.1146 0.7336
```

Top 10 peaks for 10 to 90 degrees two-theta, by angle:
two_theta	intensity
10.38	100.0
19.58	67.1
20.84	41.6
24.34	87.0
25.23	62.4
27.35	90.2
32.95	76.4
33.57	52.2
39.76	33.2
45.37	42.7



For CsBaSn6Au4, DFT lattice parameters and positions (PBE) gives the calculated X-ray powder pattern in this record (Cu Kα).
Kinematic intensities with the Lorentz-polarization factor, no thermal factor.

Structural model:
```
CsBaSn6Au4
1.0
6.5629 0.0000 0.0000
-3.2815 5.6837 0.0000
0.0000 0.0000 10.0506
Cs Ba Sn Au
1 1 6 4
Direct
0.0000 0.0000 0.0000
0.0000 0.0000 0.5000
0.0000 0.5000 0.3432
0.0000 0.5000 0.6568
0.5000 0.0000 0.3432
0.5000 0.0000 0.6568
0.5000 0.5000 0.3432
0.5000 0.5000 0.6568
0.3333 0.6667 0.1322
0.3333 0.6667 0.8678
0.6667 0.3333 0.1322
0.6667 0.3333 0.8678
```

Top 10 peaks for 10 to 90 degrees two-theta, by angle:
two_theta	intensity
15.59	64.0
23.63	56.1
27.18	84.3
28.62	100.0
32.75	72.1
38.40	79.4
39.20	66.1
41.68	88.5
56.05	56.2
56.35	46.3



Number 8 is which compound? CsBaSn6Au4